[1]
Starting from DFT lattice parameters and positions (GGA-PBE), the X-ray powder pattern of CaPd4O8 was simulated for Cu Kα (λ = 1.5418 Å).

Main lines, by intensity (10 to 80 degrees two-theta):
d_spacing	2θ/deg	I/Imax	hkl
5.204	17.04	100.0	1 1 1
2.718	32.96	71.8	3 1 1
2.254	40.01	46.6	4 0 0
1.594	57.87	37.8	4 4 0
2.602	34.47	36.6	2 2 2
1.735	52.77	31.6	5 1 1
1.359	69.12	18.9	6 2 2
1.524	60.79	17.8	5 3 1

Crystal structure
```
data_CaPd4O8
_chemical_formula_sum 'Ca4 Pd16 O32'
_cell_length_a 9.014
_cell_length_b 9.014
_cell_length_c 9.014
_cell_angle_alpha 90.00
_cell_angle_beta 90.00
_cell_angle_gamma 90.00
_symmetry_space_group_name_H-M 'F -4 3 m'
_symmetry_Int_Tables_number 216
_symmetry_space_group_name_Hall 'F -4 2 3'
loop_
_atom_site_label
_atom_site_type_symbol
_atom_site_fract_x
_atom_site_fract_y
_atom_site_fract_z
Ca1 Ca 0.000 0.000 0.000
Pd1 Pd 0.124 0.124 0.376
O1 O 0.105 0.105 0.605
O2 O 0.144 0.144 0.144
```

***

[2]
Starting from DFT lattice parameters and positions (GGA-PBE), the X-ray powder pattern of CsNp4Pt3Se12 was simulated for Cu Kα (λ = 1.5418 Å).

Main lines, by intensity (10 to 80 degrees two-theta):
d_spacing	2θ/deg	I/Imax	hkl
3.642	24.44	100.0	2 2 0
2.103	43.02	84.7	4 2 2
2.575	34.84	30.6	4 0 0
1.214	78.85	29.3	6 6 0
1.629	56.50	28.4	6 2 0
1.376	68.12	25.8	6 2 4
3.257	27.38	18.3	3 0 1
1.821	50.09	15.9	4 4 0

Crystal structure
```
data_CsNp4Pt3Se12
_chemical_formula_sum 'Cs2 Np8 Pt6 Se24'
_cell_length_a 10.301
_cell_length_b 10.301
_cell_length_c 10.301
_cell_angle_alpha 90.00
_cell_angle_beta 90.00
_cell_angle_gamma 90.00
_symmetry_space_group_name_H-M 'I m -3'
_symmetry_Int_Tables_number 204
_symmetry_space_group_name_Hall '-I 2 2 3'
loop_
_atom_site_label
_atom_site_type_symbol
_atom_site_fract_x
_atom_site_fract_y
_atom_site_fract_z
Cs1 Cs 0.000 0.000 0.000
Np1 Np 0.250 0.250 0.250
Pt1 Pt 0.000 0.000 0.500
Se1 Se 0.000 0.324 0.165
```

***

[3]
Starting from DFT lattice parameters and positions (GGA-PBE), the X-ray powder pattern of Pm3Al4Ga4 was simulated for Cu Kα (λ = 1.5418 Å).

Main lines, by intensity (10 to 80 degrees two-theta):
d_spacing	2θ/deg	I/Imax	hkl
2.723	32.89	100.0	3 1 1
2.769	32.33	68.2	7 1 0
2.924	30.57	57.9	3 1 -1
2.068	43.77	39.5	10 0 1
1.703	53.82	31.9	9 1 -2
2.161	41.81	31.4	2 0 -2
2.086	43.38	28.1	0 2 0
1.469	63.32	25.9	10 2 1

Crystal structure
```
data_Pm3Al4Ga4
_chemical_formula_sum 'Pm6 Al8 Ga8'
_cell_length_a 26.268
_cell_length_b 4.172
_cell_length_c 4.321
_cell_angle_alpha 90.00
_cell_angle_beta 99.45
_cell_angle_gamma 90.00
_symmetry_space_group_name_H-M 'C 1 2/m 1'
_symmetry_Int_Tables_number 12
_symmetry_space_group_name_Hall '-C 2y'
loop_
_atom_site_label
_atom_site_type_symbol
_atom_site_fract_x
_atom_site_fract_y
_atom_site_fract_z
Pm1 Pm 0.000 0.000 0.000
Pm2 Pm 0.145 0.000 0.645
Al1 Al 0.094 0.500 0.094
Al2 Al 0.249 0.500 0.748
Ga1 Ga 0.048 0.500 0.547
Ga2 Ga 0.190 0.500 0.189
```

***

[4]
Starting from DFT lattice parameters and positions (GGA-PBE), the X-ray powder pattern of KPuTlO4 was simulated for Cu Kα (λ = 1.5418 Å).

Main lines, by intensity (10 to 80 degrees two-theta):
d_spacing	2θ/deg	I/Imax	hkl
6.079	14.57	100.0	0 1 1
3.039	29.39	50.5	0 2 2
2.964	30.15	48.3	2 0 2
3.014	29.64	47.0	2 1 1
5.929	14.94	45.4	1 0 1
2.497	35.97	40.9	2 2 0
1.878	48.48	40.3	2 2 4
3.073	29.06	39.5	1 2 1

Crystal structure
```
data_KPuTlO4
_chemical_formula_sum 'K4 Pu4 Tl4 O16'
_cell_length_a 6.942
_cell_length_b 7.187
_cell_length_c 11.396
_cell_angle_alpha 90.00
_cell_angle_beta 90.00
_cell_angle_gamma 90.00
_symmetry_space_group_name_H-M 'I m m a'
_symmetry_Int_Tables_number 74
_symmetry_space_group_name_Hall '-I 2b 2'
loop_
_atom_site_label
_atom_site_type_symbol
_atom_site_fract_x
_atom_site_fract_y
_atom_site_fract_z
K1 K 0.000 0.250 0.112
Pu1 Pu 0.250 0.250 0.750
Tl1 Tl 0.000 0.000 0.500
O1 O 0.000 0.061 0.741
O2 O 0.231 0.250 0.917
```

***

[5]
Starting from DFT lattice parameters and positions (GGA-PBE), the X-ray powder pattern of RbPdBr6 was simulated for Cu Kα (λ = 1.5418 Å).

Main lines, by intensity (10 to 80 degrees two-theta):
d_spacing	2θ/deg	I/Imax	hkl
3.370	26.45	100.0	2 2 -1
5.768	15.36	95.1	1 1 -1
2.444	36.78	80.3	0 2 2
2.960	30.20	65.4	4 0 -2
3.561	25.00	50.4	1 1 1
1.818	50.17	43.2	4 2 -4
5.920	14.97	41.4	2 0 -1
2.248	40.11	27.8	1 3 1

Crystal structure
```
data_RbPdBr6
_chemical_formula_sum 'Rb2 Pd2 Br12'
_cell_length_a 11.891
_cell_length_b 8.200
_cell_length_c 8.119
_cell_angle_alpha 90.00
_cell_angle_beta 131.44
_cell_angle_gamma 90.00
_symmetry_space_group_name_H-M 'C 1 2/m 1'
_symmetry_Int_Tables_number 12
_symmetry_space_group_name_Hall '-C 2y'
loop_
_atom_site_label
_atom_site_type_symbol
_atom_site_fract_x
_atom_site_fract_y
_atom_site_fract_z
Rb1 Rb 0.000 0.000 0.000
Pd1 Pd 0.000 0.500 0.500
Br1 Br 0.146 0.266 0.769
Br2 Br 0.177 0.500 0.434
```

***

[6]
Starting from DFT lattice parameters and positions (GGA-PBE), the X-ray powder pattern of PmScBiAu was simulated for Cu Kα (λ = 1.5418 Å).

Main lines, by intensity (10 to 80 degrees two-theta):
d_spacing	2θ/deg	I/Imax	hkl
2.618	34.26	100.0	2 2 0
1.511	61.34	37.6	4 2 2
1.851	49.23	18.1	4 0 0
3.702	24.04	14.9	2 0 0
1.309	72.17	11.7	4 4 0
1.656	55.50	7.0	4 2 0
4.275	20.78	6.7	1 1 1
2.137	42.29	4.9	2 2 2

Crystal structure
```
data_PmScBiAu
_chemical_formula_sum 'Pm4 Sc4 Bi4 Au4'
_cell_length_a 7.404
_cell_length_b 7.404
_cell_length_c 7.404
_cell_angle_alpha 90.00
_cell_angle_beta 90.00
_cell_angle_gamma 90.00
_symmetry_space_group_name_H-M 'F -4 3 m'
_symmetry_Int_Tables_number 216
_symmetry_space_group_name_Hall 'F -4 2 3'
loop_
_atom_site_label
_atom_site_type_symbol
_atom_site_fract_x
_atom_site_fract_y
_atom_site_fract_z
Pm1 Pm 0.000 0.000 0.000
Sc1 Sc 0.000 0.000 0.500
Bi1 Bi 0.250 0.250 0.250
Au1 Au 0.250 0.250 0.750
```

***

[7]
Starting from DFT lattice parameters and positions (GGA-PBE), the X-ray powder pattern of LiTi8O16 was simulated for Cu Kα (λ = 1.5418 Å).

Main lines, by intensity (10 to 80 degrees two-theta):
d_spacing	2θ/deg	I/Imax	hkl
3.563	24.99	100.0	0 1 -2
3.540	25.16	99.8	0 1 2
2.931	30.50	37.8	1 -1 2
3.499	25.45	35.1	1 1 1
2.913	30.69	31.9	1 1 2
2.962	30.17	31.3	-1 1 2
2.450	36.68	23.6	1 -2 0
2.549	35.21	23.5	2 0 -1

Crystal structure
```
data_LiTi8O16
_chemical_formula_sum 'Li1 Ti8 O16'
_cell_length_a 5.269
_cell_length_b 5.534
_cell_length_c 9.269
_cell_angle_alpha 90.46
_cell_angle_beta 91.28
_cell_angle_gamma 90.08
_symmetry_space_group_name_H-M 'P -1'
_symmetry_Int_Tables_number 2
_symmetry_space_group_name_Hall '-P 1'
loop_
_atom_site_label
_atom_site_type_symbol
_atom_site_fract_x
_atom_site_fract_y
_atom_site_fract_z
Li1 Li 0.000 0.000 0.000
Ti1 Ti 0.127 0.101 0.370
Ti2 Ti 0.131 0.583 0.134
Ti3 Ti 0.363 0.609 0.621
Ti4 Ti 0.397 0.111 0.861
O1 O 0.040 0.098 0.778
O2 O 0.046 0.604 0.729
O3 O 0.172 0.338 0.995
O4 O 0.180 0.849 0.508
O5 O 0.318 0.351 0.489
O6 O 0.320 0.847 0.008
O7 O 0.454 0.106 0.272
O8 O 0.461 0.604 0.230
```

***

What is the formula in the third record? Pm3Al4Ga4